1.
For La3Pm7Sm, a DFT-relaxed cell (PBE, Alexandria) gives the theoretical X-ray powder pattern in this record (Cu Kα).
Lines closer than 0.1° are merged.

Most intense lines, 10 to 90 degrees two-theta, by angle:
d 2.966, 2θ 30.13, intensity 94.0; d 2.956, 2θ 30.23, intensity 81.2; d 2.915, 2θ 30.67, intensity 100.0; d 2.761, 2θ 32.43, intensity 63.0; d 2.454, 2θ 36.63, intensity 64.3; d 1.836, 2θ 49.65, intensity 24.4; d 1.832, 2θ 49.78, intensity 23.3; d 1.717, 2θ 53.37, intensity 20.0; d 1.485, 2θ 62.55, intensity 38.1; d 1.458, 2θ 63.87, intensity 18.3

Crystal structure
Cell lengths 7.870, 7.870, 6.532 Å; angles 93.52, 93.52, 81.72 degrees
Fractional coordinates of all 11 atoms:
La  0.000  0.000  0.000
La  0.176  0.824  0.500
La  0.824  0.176  0.500
Pm  0.086  0.430  0.239
Pm  0.238  0.238  0.712
Pm  0.430  0.086  0.239
Pm  0.500  0.500  0.500
Pm  0.570  0.914  0.761
Pm  0.762  0.762  0.288
Pm  0.914  0.570  0.761
Sm  0.500  0.500  0.000

---

2.
For La9Pm2Sm3, a DFT-relaxed cell (PBE, Alexandria) gives the theoretical X-ray powder pattern in this record (Cu Kα).
Lines closer than 0.1° are merged.

Most intense lines, 10 to 90 degrees two-theta, by angle:
d 3.513, 2θ 25.35, intensity 33.5; d 3.443, 2θ 25.88, intensity 31.7; d 3.019, 2θ 29.58, intensity 100.0; d 2.986, 2θ 29.93, intensity 24.2; d 2.920, 2θ 30.61, intensity 94.7; d 2.783, 2θ 32.16, intensity 33.9; d 2.748, 2θ 32.59, intensity 74.3; d 2.648, 2θ 33.85, intensity 31.5; d 2.279, 2θ 39.54, intensity 33.4; d 1.728, 2θ 53.00, intensity 33.9

Crystal structure
Cell lengths 9.121, 9.121, 14.053 Å; angles 90.00, 90.00, 120.00 degrees
Fractional coordinates of all 28 atoms:
La  0.078  0.544  0.250
La  0.129  0.756  0.042
La  0.129  0.756  0.458
La  0.244  0.374  0.042
La  0.244  0.374  0.458
La  0.374  0.129  0.542
La  0.374  0.129  0.958
La  0.456  0.534  0.250
La  0.466  0.922  0.250
La  0.534  0.078  0.750
La  0.544  0.466  0.750
La  0.626  0.871  0.042
La  0.626  0.871  0.458
La  0.756  0.626  0.542
La  0.756  0.626  0.958
La  0.871  0.244  0.542
La  0.871  0.244  0.958
La  0.922  0.456  0.750
Pm  0.333  0.667  0.636
Pm  0.333  0.667  0.864
Pm  0.667  0.333  0.136
Pm  0.667  0.333  0.364
Sm  0.105  0.855  0.750
Sm  0.145  0.250  0.750
Sm  0.250  0.105  0.250
Sm  0.750  0.895  0.750
Sm  0.855  0.750  0.250
Sm  0.895  0.145  0.250

---

3.
For La2PmSm7, a DFT-relaxed cell (PBE, Alexandria) gives the theoretical X-ray powder pattern in this record (Cu Kα).
Lines closer than 0.1° are merged.

Most intense lines, 10 to 90 degrees two-theta, by angle:
d 2.964, 2θ 30.15, intensity 86.8; d 2.942, 2θ 30.38, intensity 100.0; d 2.801, 2θ 31.95, intensity 44.2; d 2.751, 2θ 32.55, intensity 36.7; d 2.241, 2θ 40.24, intensity 18.9; d 1.963, 2θ 46.26, intensity 27.6; d 1.750, 2θ 52.28, intensity 17.7; d 1.647, 2θ 55.83, intensity 15.4; d 1.643, 2θ 55.97, intensity 17.8; d 1.525, 2θ 60.73, intensity 27.9

Crystal structure
Cell lengths 9.759, 9.759, 5.602 Å; angles 106.62, 106.62, 42.87 degrees
Fractional coordinates of all 10 atoms:
La  0.199  0.199  0.199
La  0.801  0.801  0.801
Pm  0.500  0.500  0.000
Sm  0.000  0.000  0.000
Sm  0.147  0.644  0.396
Sm  0.302  0.302  0.802
Sm  0.356  0.853  0.604
Sm  0.644  0.147  0.396
Sm  0.698  0.698  0.198
Sm  0.853  0.356  0.604

---

4.
For LaTb2PmSm, a DFT-relaxed cell (PBE, Alexandria) gives the theoretical X-ray powder pattern in this record (Cu Kα).
Lines closer than 0.1° are merged.

Most intense lines, 10 to 90 degrees two-theta, by angle:
d 5.848, 2θ 15.15, intensity 19.0; d 3.447, 2θ 25.85, intensity 36.8; d 3.206, 2θ 27.83, intensity 26.6; d 3.079, 2θ 29.00, intensity 43.3; d 2.924, 2θ 30.57, intensity 49.1; d 2.761, 2θ 32.42, intensity 100.0; d 2.534, 2θ 35.43, intensity 37.7; d 2.298, 2θ 39.21, intensity 30.0; d 2.007, 2θ 45.17, intensity 52.3; d 1.422, 2θ 65.66, intensity 17.8

Crystal structure
Cell lengths 7.239, 7.239, 7.242 Å; angles 90.00, 90.00, 107.78 degrees
Fractional coordinates of all 10 atoms:
La  0.234  0.766  0.750
La  0.766  0.234  0.250
Tb  0.189  0.189  0.000
Tb  0.189  0.189  0.500
Tb  0.811  0.811  0.000
Tb  0.811  0.811  0.500
Pm  0.224  0.776  0.250
Pm  0.776  0.224  0.750
Sm  0.499  0.501  0.750
Sm  0.501  0.499  0.250

---

5.
For La3Pm4SmTe8, a DFT-relaxed cell (PBE, Alexandria) gives the theoretical X-ray powder pattern in this record (Cu Kα).
Lines closer than 0.1° are merged.

Most intense lines, 10 to 90 degrees two-theta, by angle:
d 3.188, 2θ 27.98, intensity 100.0; d 2.259, 2θ 39.91, intensity 38.5; d 2.250, 2θ 40.07, intensity 38.0; d 1.843, 2θ 49.45, intensity 20.7; d 1.834, 2θ 49.71, intensity 6.8; d 1.594, 2θ 57.84, intensity 12.9; d 1.428, 2θ 65.35, intensity 17.8; d 1.424, 2θ 65.57, intensity 17.5; d 1.304, 2θ 72.48, intensity 6.5; d 1.302, 2θ 72.58, intensity 13.0

Crystal structure
Cell lengths 9.002, 9.002, 9.002 Å; angles 60.25, 60.25, 60.25 degrees
Fractional coordinates of all 16 atoms:
La  0.000  0.500  0.500
La  0.500  0.000  0.500
La  0.500  0.500  0.000
Pm  0.000  0.000  0.500
Pm  0.000  0.500  0.000
Pm  0.500  0.000  0.000
Pm  0.500  0.500  0.500
Sm  0.000  0.000  0.000
Te  0.245  0.751  0.751
Te  0.248  0.248  0.248
Te  0.249  0.249  0.755
Te  0.249  0.755  0.249
Te  0.751  0.245  0.751
Te  0.751  0.751  0.245
Te  0.752  0.752  0.752
Te  0.755  0.249  0.249

---

6.
For La2PmSm7Tl2, a DFT-relaxed cell (PBE, Alexandria) gives the theoretical X-ray powder pattern in this record (Cu Kα).
Lines closer than 0.1° are merged.

Most intense lines, 10 to 90 degrees two-theta, by angle:
d 3.033, 2θ 29.45, intensity 100.0; d 2.887, 2θ 30.98, intensity 68.1; d 2.797, 2θ 32.00, intensity 21.7; d 2.689, 2θ 33.32, intensity 20.7; d 2.570, 2θ 34.92, intensity 53.6; d 2.545, 2θ 35.27, intensity 54.4; d 2.202, 2θ 40.99, intensity 15.5; d 1.808, 2θ 50.47, intensity 34.5; d 1.528, 2θ 60.60, intensity 17.6; d 1.517, 2θ 61.09, intensity 29.3

Crystal structure
Cell lengths 6.183, 6.183, 11.324 Å; angles 90.00, 90.00, 110.97 degrees
Fractional coordinates of all 12 atoms:
La  0.000  0.000  0.148
La  0.000  0.000  0.852
Pm  0.500  0.500  0.500
Sm  0.000  0.000  0.500
Sm  0.000  0.500  0.331
Sm  0.000  0.500  0.669
Sm  0.314  0.686  0.000
Sm  0.500  0.000  0.331
Sm  0.500  0.000  0.669
Sm  0.686  0.314  0.000
Tl  0.500  0.500  0.224
Tl  0.500  0.500  0.776

---

7.
For La6PmSmTm2, a DFT-relaxed cell (PBE, Alexandria) gives the theoretical X-ray powder pattern in this record (Cu Kα).
Lines closer than 0.1° are merged.

Most intense lines, 10 to 90 degrees two-theta, by angle:
d 3.344, 2θ 26.66, intensity 50.8; d 3.029, 2θ 29.49, intensity 54.7; d 2.976, 2θ 30.03, intensity 100.0; d 2.915, 2θ 30.67, intensity 47.5; d 2.899, 2θ 30.84, intensity 43.7; d 2.888, 2θ 30.96, intensity 71.4; d 2.783, 2θ 32.17, intensity 51.4; d 2.750, 2θ 32.56, intensity 37.5; d 2.612, 2θ 34.33, intensity 33.3; d 1.810, 2θ 50.42, intensity 30.1

Crystal structure
Cell lengths 6.728, 6.728, 8.924 Å; angles 100.87, 100.87, 65.11 degrees
Fractional coordinates of all 10 atoms:
La  0.101  0.542  0.196
La  0.142  0.142  0.442
La  0.458  0.899  0.804
La  0.542  0.101  0.196
La  0.858  0.858  0.558
La  0.899  0.458  0.804
Pm  0.000  0.000  0.000
Sm  0.500  0.500  0.500
Tm  0.408  0.408  0.839
Tm  0.592  0.592  0.161

---

8.
For LaPmSmTm3, a DFT-relaxed cell (PBE, Alexandria) gives the theoretical X-ray powder pattern in this record (Cu Kα).
Lines closer than 0.1° are merged.

Most intense lines, 10 to 90 degrees two-theta, by angle:
d 2.929, 2θ 30.52, intensity 56.7; d 2.810, 2θ 31.84, intensity 100.0; d 2.071, 2θ 43.70, intensity 21.2; d 1.913, 2θ 47.54, intensity 7.8; d 1.667, 2θ 55.08, intensity 42.0; d 1.601, 2θ 57.55, intensity 17.6; d 1.465, 2θ 63.52, intensity 7.1; d 1.405, 2θ 66.55, intensity 11.3; d 1.310, 2θ 72.10, intensity 9.4; d 1.299, 2θ 72.82, intensity 9.0

Crystal structure
Cell lengths 6.442, 6.442, 11.723 Å; angles 90.00, 90.00, 125.93 degrees
Fractional coordinates of all 12 atoms:
La  0.010  0.990  0.750
La  0.990  0.010  0.250
Pm  0.323  0.677  0.750
Pm  0.677  0.323  0.250
Sm  0.500  0.500  0.000
Sm  0.500  0.500  0.500
Tm  0.174  0.826  0.008
Tm  0.174  0.826  0.492
Tm  0.335  0.665  0.250
Tm  0.665  0.335  0.750
Tm  0.826  0.174  0.508
Tm  0.826  0.174  0.992